1.
# Pm3Sm4Th2
Theoretical XRD peak list, Cu Kα (λ = 1.5418 Å). Input: a PBE-relaxed structure.
Intensities are scaled so that the largest is 100.

Atomic structure:
Cell lengths 3.6012, 3.6012, 27.2069 Å; angles 90.00, 90.00, 120.00 degrees
Sites, in units of the cell vectors:
Pm 0.0000 0.0000 0.0000
Pm 0.0000 0.0000 0.3408
Pm 0.6667 0.3333 0.6711
Sm 0.0000 0.0000 0.5611
Sm 0.0000 0.0000 0.7822
Sm 0.6667 0.3333 0.2342
Sm 0.6667 0.3333 0.4530
Th 0.6667 0.3333 0.1098
Th 0.6667 0.3333 0.8899

Principal peaks in the range 2θ from 10° to 80°, low angle first:
(1 0 0), d = 3.119 Å, I = 53; (0 0 9), d = 3.023 Å, I = 55; (0 1 3), d = 2.949 Å, I = 14; (1 0 4), d = 2.835 Å, I = 68; (0 1 5), d = 2.706 Å, I = 100; (0 1 6), d = 2.570 Å, I = 12; (0 1 9), d = 2.171 Å, I = 36; (1 1 0), d = 1.801 Å, I = 39; (0 1 14), d = 1.649 Å, I = 32; (1 1 9), d = 1.547 Å, I = 46; (2 0 5), d = 1.499 Å, I = 17; (2 0 14), d = 1.216 Å, I = 12

2.
# Pm2Ge3Os2
Theoretical XRD peak list, Cu Kα (λ = 1.5418 Å). Input: a PBE-relaxed structure.
Intensities are scaled so that the largest is 100.

Atomic structure:
Cell lengths 6.5357, 6.0040, 8.7725 Å; angles 90.00, 113.86, 90.00 degrees
Sites, in units of the cell vectors:
Pm 0.2056 0.1047 0.3740
Pm 0.2056 0.3953 0.8740
Pm 0.7944 0.6047 0.1260
Pm 0.7944 0.8953 0.6260
Ge 0.0000 0.0000 0.0000
Ge 0.0000 0.5000 0.5000
Ge 0.4017 0.6306 0.2775
Ge 0.4017 0.8694 0.7775
Ge 0.5983 0.1306 0.2225
Ge 0.5983 0.3694 0.7225
Os 0.3415 0.6487 0.5354
Os 0.3415 0.8513 0.0354
Os 0.6585 0.1487 0.9646
Os 0.6585 0.3513 0.4646

Principal peaks in the range 2θ from 10° to 80°, low angle first:
(1 0 0), d = 5.977 Å, I = 40; (0 0 2), d = 4.011 Å, I = 39; (1 1 1), d = 3.368 Å, I = 43; (0 1 2), d = 3.335 Å, I = 52; (1 2 -1), d = 2.696 Å, I = 92; (2 1 0), d = 2.676 Å, I = 100; (1 1 -3), d = 2.627 Å, I = 58; (0 1 3), d = 2.443 Å, I = 42; (1 2 1), d = 2.416 Å, I = 82; (1 1 -4), d = 2.055 Å, I = 60; (3 1 1), d = 1.701 Å, I = 39; (4 2 -3), d = 1.420 Å, I = 45

3.
# BeHgC
Theoretical XRD peak list, Cu Kα (λ = 1.5418 Å). Input: a PBE-relaxed structure.
Intensities are scaled so that the largest is 100.

Atomic structure:
Cell lengths 2.9673, 4.4404, 8.4743 Å; angles 88.26, 80.01, 70.54 degrees
Sites, in units of the cell vectors:
Be 0.0000 0.0000 0.0000
Be 0.1701 0.5532 0.1071
Hg 0.0533 0.4924 0.4264
Hg 0.1583 0.9731 0.7017
C 0.3780 0.1518 0.0936
C 0.5405 0.8281 0.0915

Principal peaks in the range 2θ from 10° to 80°, low angle first:
(0 0 1), d = 8.342 Å, I = 100; (0 1 -1), d = 3.786 Å, I = 39; (0 1 1), d = 3.697 Å, I = 30; (0 1 -2), d = 2.999 Å, I = 32; (0 1 2), d = 2.912 Å, I = 30; (0 0 3), d = 2.781 Å, I = 23; (1 0 0), d = 2.757 Å, I = 30; (1 1 1), d = 2.752 Å, I = 22; (1 1 -1), d = 2.509 Å, I = 13; (1 1 2), d = 2.489 Å, I = 32; (1 1 -2), d = 2.154 Å, I = 25; (1 2 0), d = 2.023 Å, I = 22

4.
# In2Hg9Pb
Theoretical XRD peak list, Cu Kα (λ = 1.5418 Å). Input: a PBE-relaxed structure.
Intensities are scaled so that the largest is 100.

Atomic structure:
Cell lengths 5.2616, 5.7145, 10.7880 Å; angles 90.00, 90.00, 90.00 degrees
Sites, in units of the cell vectors:
In 0.0000 0.0000 0.1643
In 0.0000 0.0000 0.8357
Hg 0.0000 0.5000 0.0000
Hg 0.0000 0.5000 0.3316
Hg 0.0000 0.5000 0.6684
Hg 0.5000 0.0000 0.0000
Hg 0.5000 0.0000 0.3254
Hg 0.5000 0.0000 0.6746
Hg 0.5000 0.5000 0.1662
Hg 0.5000 0.5000 0.5000
Hg 0.5000 0.5000 0.8338
Pb 0.0000 0.0000 0.5000

Principal peaks in the range 2θ from 10° to 80°, low angle first:
(0 2 0), d = 2.857 Å, I = 25; (2 0 0), d = 2.634 Å, I = 100; (2 2 0), d = 1.935 Å, I = 17; (0 0 6), d = 1.798 Å, I = 6; (1 3 3), d = 1.603 Å, I = 18; (3 1 3), d = 1.520 Å, I = 23; (2 0 6), d = 1.484 Å, I = 7; (0 4 0), d = 1.429 Å, I = 3; (2 2 6), d = 1.317 Å, I = 9; (4 0 0), d = 1.315 Å, I = 2; (2 4 0), d = 1.255 Å, I = 4; (3 3 3), d = 1.214 Å, I = 7